Structure and computed powder diffractogram of PuPaPt4 (a cell relaxed with GGA-PBE; Cu Kα, 1.54184 Å).

Cell and atoms:
abc: 5.445 5.445 5.445
angles: 60.00 60.00 60.00
Sites, in units of the cell vectors:
Pu  0.000  0.000  0.000
Pa  0.250  0.250  0.250
Pt  0.125  0.625  0.625
Pt  0.625  0.125  0.625
Pt  0.625  0.625  0.125
Pt  0.625  0.625  0.625

Peak list (10 most intense, 2θ = 15–90°, low angle first)
Position (°2θ), d/Å, I (rel.)
32.9, 2.722, 32.6
38.8, 2.322, 100.0
40.6, 2.223, 34.4
47.2, 1.925, 2.7
58.7, 1.572, 13.0
62.7, 1.482, 33.5
69.0, 1.361, 28.4
78.6, 1.217, 5.7
82.1, 1.174, 12.0
83.2, 1.161, 13.5



Structure and computed powder diffractogram of PuPaRuPt (a cell relaxed with GGA-PBE; Cu Kα, 1.54184 Å).

Cell and atoms:
abc: 4.018 3.833 11.197
angles: 90.00 90.00 90.00
Sites, in units of the cell vectors:
Pu  0.000  0.000  0.000
Pu  0.000  0.500  0.500
Pa  0.500  0.000  0.279
Pa  0.500  0.500  0.779
Ru  0.000  0.000  0.749
Ru  0.000  0.500  0.249
Pt  0.500  0.000  0.555
Pt  0.500  0.500  0.055

Peak list (10 most intense, 2θ = 15–90°, low angle first)
Position (°2θ), d/Å, I (rel.)
32.0, 2.799, 41.4
33.3, 2.692, 100.0
33.5, 2.674, 23.0
39.2, 2.297, 15.4
40.5, 2.226, 55.9
45.1, 2.009, 22.6
47.4, 1.916, 19.6
56.4, 1.632, 17.0
58.4, 1.581, 15.4
67.6, 1.386, 18.9



Structure and computed powder diffractogram of PuPaTiPt (a cell relaxed with GGA-PBE; Cu Kα, 1.54184 Å).

Cell and atoms:
abc: 6.797 6.797 6.797
angles: 90.00 90.00 90.00
Sites, in units of the cell vectors:
Pu  0.000  0.000  0.000
Pu  0.000  0.500  0.500
Pu  0.500  0.000  0.500
Pu  0.500  0.500  0.000
Pa  0.250  0.250  0.250
Pa  0.250  0.750  0.750
Pa  0.750  0.250  0.750
Pa  0.750  0.750  0.250
Ti  0.250  0.250  0.750
Ti  0.250  0.750  0.250
Ti  0.750  0.250  0.250
Ti  0.750  0.750  0.750
Pt  0.000  0.000  0.500
Pt  0.000  0.500  0.000
Pt  0.500  0.000  0.000
Pt  0.500  0.500  0.500

Peak list (10 most intense, 2θ = 15–90°, low angle first)
Position (°2θ), d/Å, I (rel.)
22.7, 3.925, 15.8
26.2, 3.399, 5.8
37.4, 2.403, 100.0
44.2, 2.050, 8.9
54.0, 1.699, 17.7
59.3, 1.559, 3.9
67.5, 1.388, 36.4
72.2, 1.308, 3.0
79.8, 1.202, 11.5
84.3, 1.149, 3.1



Structure and computed powder diffractogram of Rb2PaPtS4 (a cell relaxed with GGA-PBE; Cu Kα, 1.54184 Å).

Cell and atoms:
abc: 7.578 7.578 8.299
angles: 90.00 90.00 90.00
Sites, in units of the cell vectors:
Rb  0.000  0.000  0.000
Rb  0.000  0.500  0.250
Rb  0.500  0.000  0.750
Rb  0.500  0.500  0.500
Pa  0.000  0.000  0.500
Pa  0.500  0.500  0.000
Pt  0.000  0.500  0.750
Pt  0.500  0.000  0.250
S  0.151  0.765  0.676
S  0.235  0.151  0.324
S  0.265  0.349  0.824
S  0.349  0.735  0.176
S  0.651  0.265  0.176
S  0.735  0.651  0.824
S  0.765  0.849  0.324
S  0.849  0.235  0.676

Peak list (10 most intense, 2θ = 15–90°, low angle first)
Position (°2θ), d/Å, I (rel.)
15.8, 5.596, 43.7
23.5, 3.789, 50.7
27.2, 3.281, 100.0
33.4, 2.679, 33.3
43.6, 2.075, 64.4
50.1, 1.820, 20.2
54.1, 1.694, 16.5
56.1, 1.641, 25.6
66.9, 1.399, 23.7
80.1, 1.198, 13.7